[1]
This entry pairs a crystal structure of Ac6PO8 with its calculated X-ray powder pattern. Radiation: Cu Kα X-rays. Structure: a PBE-relaxed structure.
Lines closer than 0.1° are merged.

Cell and atoms:
```
data_Ac6PO8
_chemical_formula_sum 'Ac12 P2 O16'
_cell_length_a 7.4605
_cell_length_b 7.4605
_cell_length_c 13.7383
_cell_angle_alpha 90.00
_cell_angle_beta 90.00
_cell_angle_gamma 120.00
_symmetry_space_group_name_H-M 'P 63 c m'
_symmetry_Int_Tables_number 185
_symmetry_space_group_name_Hall 'P 6c -2'
loop_
_atom_site_label
_atom_site_fract_x
_atom_site_fract_y
_atom_site_fract_z
Ac1 0.0000 0.0000 0.0000
Ac2 0.0000 0.3849 0.2418
Ac3 0.3333 0.6667 0.0037
P1 0.0000 0.0000 0.2630
O1 0.0000 0.3076 0.0680
O2 0.0000 0.3825 0.4182
O3 0.3333 0.6667 0.1953
```

Largest 6 diffraction maxima, in order of rising 2θ, 10° ≤ 2θ ≤ 90°:
| index | 2θ (°) | Rel. int. |
| --- | --- | --- |
| 1 1 1 | 24.73 | 50 |
| 0 0 4 | 25.94 | 43 |
| 1 1 2 | 27.20 | 100 |
| 3 0 0 | 41.95 | 40 |
| 1 1 6 | 46.54 | 30 |
| 3 0 4 | 49.98 | 37 |


[2]
This entry pairs a crystal structure of K2YSb with its calculated X-ray powder pattern. Radiation: Cu Kα X-rays. Structure: a PBE-relaxed structure.
Lines closer than 0.1° are merged.

Cell and atoms:
```
data_K2YSb
_chemical_formula_sum 'K4 Y2 Sb2'
_cell_length_a 8.1122
_cell_length_b 4.6747
_cell_length_c 11.3663
_cell_angle_alpha 90.00
_cell_angle_beta 103.34
_cell_angle_gamma 90.00
_symmetry_space_group_name_H-M 'C 1 m 1'
_symmetry_Int_Tables_number 8
loop_
_symmetry_equiv_pos_as_xyz
'x,y,z'
'x,-y,z'
'x+1/2,y+1/2,z'
'x+1/2,-y+1/2,z'
loop_
_atom_site_label
_atom_site_fract_x
_atom_site_fract_y
_atom_site_fract_z
K1 0.0000 0.0000 0.0000
K2 0.2068 0.0000 0.6296
Y1 0.2702 0.5000 0.3109
Sb1 0.4743 0.0000 0.4257
```

Largest 6 diffraction maxima, in order of rising 2θ, 10° ≤ 2θ ≤ 90°:
| index | 2θ (°) | Rel. int. |
| --- | --- | --- |
| 0 0 2 | 16.03 | 23 |
| 2 0 -2 | 24.45 | 100 |
| 1 1 2 | 28.94 | 32 |
| 2 0 -3 | 29.08 | 15 |
| 0 2 0 | 38.48 | 41 |
| 0 2 1 | 39.40 | 17 |


[3]
This entry pairs a crystal structure of HoNi12Ge4 with its calculated X-ray powder pattern. Radiation: Cu Kα X-rays. Structure: a PBE-relaxed structure.
Lines closer than 0.1° are merged.

Cell and atoms:
```
data_HoNi12Ge4
_chemical_formula_sum 'Ho2 Ni24 Ge8'
_cell_length_a 7.9089
_cell_length_b 7.9089
_cell_length_c 7.9089
_cell_angle_alpha 90.00
_cell_angle_beta 90.00
_cell_angle_gamma 90.00
_symmetry_space_group_name_H-M 'I m -3'
_symmetry_Int_Tables_number 204
_symmetry_space_group_name_Hall '-I 2 2 3'
loop_
_atom_site_label
_atom_site_fract_x
_atom_site_fract_y
_atom_site_fract_z
Ho1 0.0000 0.0000 0.0000
Ni1 0.0000 0.3536 0.1526
Ge1 0.2500 0.2500 0.2500
```

Largest 6 diffraction maxima, in order of rising 2θ, 10° ≤ 2θ ≤ 90°:
| index | 2θ (°) | Rel. int. |
| --- | --- | --- |
| 2 2 0 | 32.01 | 29 |
| 3 0 1 | 35.91 | 100 |
| 3 1 2 | 42.78 | 51 |
| 4 0 2 | 51.69 | 18 |
| 4 2 2 | 57.05 | 38 |
| 4 3 1 | 59.61 | 39 |


[4]
This entry pairs a crystal structure of PmDy7Th3 with its calculated X-ray powder pattern. Radiation: Cu Kα X-rays. Structure: a PBE-relaxed structure.
Lines closer than 0.1° are merged.

Cell and atoms:
```
data_PmDy7Th3
_chemical_formula_sum 'Pm1 Dy7 Th3'
_cell_length_a 6.3082
_cell_length_b 7.6621
_cell_length_c 7.6741
_cell_angle_alpha 82.14
_cell_angle_beta 85.36
_cell_angle_gamma 85.43
_symmetry_space_group_name_H-M 'P -1'
_symmetry_Int_Tables_number 2
loop_
_symmetry_equiv_pos_as_xyz
'x,y,z'
'-x,-y,-z'
loop_
_atom_site_label
_atom_site_fract_x
_atom_site_fract_y
_atom_site_fract_z
Pm1 0.0000 0.0000 0.0000
Dy1 0.2391 0.0768 0.4234
Dy2 0.2393 0.4240 0.0769
Dy3 0.2946 0.7323 0.7321
Dy4 0.5000 0.0000 0.0000
Th1 0.0000 0.5000 0.5000
Th2 0.4996 0.3250 0.6749
```

Largest 6 diffraction maxima, in order of rising 2θ, 10° ≤ 2θ ≤ 90°:
| index | 2θ (°) | Rel. int. |
| --- | --- | --- |
| 2 1 1 | 30.99 | 74 |
| 0 2 2 | 31.12 | 73 |
| 1 1 -2 | 31.58 | 100 |
| -2 1 1 | 33.99 | 54 |
| 1 3 0 | 37.44 | 68 |
| 2 -2 4 | 64.18 | 27 |